[1]
For PmPu2O7, the PBE geometry in Alexandria gives the computed powder diffraction line list in this record (Cu Kα (λ = 1.5418 Å)).
Intensities are scaled so that the largest is 100.

Structure:
```
10
Lattice="1.9208 1.1090 10.3172 -1.9208 1.1090 10.3172 0.0000 -2.2180 10.3172" Properties=species:S:1:pos:R:3 pbc="T T T"
Pm 0.0000 0.0000 0.0000
Pu 0.0000 0.0000 13.4186
Pu 0.0000 0.0000 17.5330
O 0.0000 0.0000 2.4609
O 0.0000 0.0000 6.7975
O 0.0000 0.0000 11.2647
O 0.0000 0.0000 15.4758
O 0.0000 0.0000 19.6869
O 0.0000 0.0000 24.1541
O 0.0000 0.0000 28.4907
```

Largest 8 diffraction maxima, sorted by position, 2θ from 5° to 70°:
| two_theta | Rel. int. |
| --- | --- |
| 25.91 | 51.4 |
| 26.95 | 39.0 |
| 27.42 | 100.0 |
| 30.50 | 51.1 |
| 33.71 | 66.7 |
| 47.33 | 56.7 |
| 49.50 | 41.7 |
| 54.74 | 40.7 |

---

[2]
For Y12Ho6Th, the PBE geometry in Alexandria gives the computed powder diffraction line list in this record (Cu Kα (λ = 1.5418 Å)).
Intensities are scaled so that the largest is 100.

Structure:
```
19
Lattice="6.5857 3.8023 4.2010 -6.5857 3.8023 4.2010 0.0000 -7.6045 4.2010" Properties=species:S:1:pos:R:3 pbc="T T T"
Y -1.7306 -4.6071 4.2010
Y -4.8551 0.8048 4.2010
Y -2.7773 -1.6035 5.6812
Y 1.7306 -4.6071 4.2010
Y -3.1246 3.8023 4.2010
Y 0.0000 -3.2070 6.9218
Y -2.7773 1.6035 6.9218
Y 2.7773 -1.6035 5.6812
Y 0.0000 3.2070 5.6812
Y 4.8551 0.8048 4.2010
Y 3.1246 3.8023 4.2010
Y 2.7773 1.6035 6.9218
Ho 0.0000 -2.0181 2.8940
Ho -1.7477 1.0090 2.8940
Ho 1.7477 1.0091 2.8940
Ho -1.7477 -1.0091 9.7090
Ho 1.7477 -1.0091 9.7091
Ho 0.0000 2.0181 9.7091
Th 0.0000 0.0000 0.0000
```

Largest 8 diffraction maxima, sorted by position, 2θ from 5° to 70°:
| two_theta | Rel. int. |
| --- | --- |
| 10.46 | 22.0 |
| 21.79 | 14.3 |
| 29.41 | 29.9 |
| 31.70 | 100.0 |
| 32.18 | 60.6 |
| 34.52 | 15.5 |
| 49.58 | 14.9 |
| 57.16 | 15.8 |

---

[3]
For RbAlTe2, the PBE geometry in Alexandria gives the computed powder diffraction line list in this record (Cu Kα (λ = 1.5418 Å)).
Intensities are scaled so that the largest is 100.

Structure:
```
8
Lattice="6.7100 0.0000 0.0000 -2.2797 7.1885 0.0000 -0.0265 -2.9028 7.7090" Properties=species:S:1:pos:R:3 pbc="T T T"
Rb 0.0038 1.7245 1.7468
Rb 4.4000 2.5613 5.9621
Al 1.7055 -1.4155 3.8814
Al 2.6983 5.7012 3.8276
Te -0.0539 -0.6962 5.7290
Te 1.0327 3.8201 4.6415
Te 3.3711 0.4657 3.0674
Te 4.4577 4.9819 1.9800
```

Largest 8 diffraction maxima, sorted by position, 2θ from 5° to 70°:
| two_theta | Rel. int. |
| --- | --- |
| 11.48 | 100.0 |
| 21.85 | 67.7 |
| 24.78 | 82.0 |
| 26.50 | 55.6 |
| 26.91 | 66.3 |
| 28.44 | 73.8 |
| 29.00 | 51.7 |
| 30.55 | 50.1 |